For YZr, DFT lattice parameters and positions (PBE) gives the computed powder XRD pattern in this record (Cu Kα (λ = 1.5418 Å)).

Atomic structure:
abc: 3.8354 3.8354 7.6131
angles: 90.00 90.00 90.00
Space group P4/nmm (No. 129, origin choice 2)
Unique sites:
Y 0.2500 0.2500 0.1617 [2 per cell]
Zr 0.2500 0.2500 0.5850 [2 per cell]

Most intense lines, 10° ≤ 2θ ≤ 90°, in order of rising 2θ:
two_theta, I_rel, h k l
11.62, 12.4, 0 0 1
33.03, 64.4, 1 1 0
33.16, 100.0, 1 0 2
42.72, 13.1, 1 0 3
47.41, 22.8, 2 0 0
49.17, 9.2, 1 1 3
59.07, 36.3, 2 1 2
66.02, 7.8, 1 0 5
78.96, 17.2, 3 1 0
85.22, 7.6, 2 1 5